Entry 1:
NaAc2Ir: simulated powder XRD pattern (Cu Kα (λ = 1.5418 Å)), based on a cell relaxed with GGA-PBE.
Intensities are scaled so that the largest is 100.

Top 10 peaks for 15° ≤ 2θ ≤ 90°, in order of rising 2θ:
2theta  I/Imax
26.44  100.0
26.61  51.8
31.79  76.7
32.06  36.8
41.26  86.9
41.61  33.7
42.40  30.7
49.54  20.4
49.82  19.2
49.98  26.6

Structural model:
```
NaAc2Ir
1.0
3.7927 -2.1854 0.0000
3.7927 2.1854 0.0000
-2.4120 0.0000 9.7514
Na Ac Ir
1 2 1
Direct
0.0000 0.0000 0.0000
0.2180 0.2180 0.6614
0.7820 0.7820 0.3386
0.5000 0.5000 0.5000
```

=====

Entry 2:
NaAc4Ir3O12: simulated powder XRD pattern (Cu Kα (λ = 1.5418 Å)), based on a cell relaxed with GGA-PBE.
Intensities are scaled so that the largest is 100.

Top 10 peaks for 15° ≤ 2θ ≤ 90°, in order of rising 2θ:
2theta  I/Imax
20.09  4.1
24.67  5.4
28.56  100.0
40.83  20.0
45.90  3.2
50.58  47.5
59.11  13.3
66.94  19.9
74.33  5.3
81.46  22.3

Structural model:
```
NaAc4Ir3O12
1.0
-4.4205 4.4205 4.4205
4.4205 -4.4205 4.4205
4.4205 4.4205 -4.4205
Na Ac Ir O
1 4 3 12
Direct
0.0000 0.0000 0.0000
0.0000 0.0000 0.5000
0.0000 0.5000 0.0000
0.5000 0.0000 0.0000
0.5000 0.5000 0.5000
0.0000 0.5000 0.5000
0.5000 0.0000 0.5000
0.5000 0.5000 0.0000
0.1478 0.3362 0.4840
0.1478 0.6638 0.8116
0.1884 0.8522 0.3362
0.3362 0.1884 0.8522
0.3362 0.4840 0.1478
0.4840 0.1478 0.3362
0.5160 0.8522 0.6638
0.6638 0.5160 0.8522
0.6638 0.8116 0.1478
0.8116 0.1478 0.6638
0.8522 0.3362 0.1884
0.8522 0.6638 0.5160
```

=====

Entry 3:
Na2AcIrO6: simulated powder XRD pattern (Cu Kα (λ = 1.5418 Å)), based on a cell relaxed with GGA-PBE.
Intensities are scaled so that the largest is 100.

Top 10 peaks for 15° ≤ 2θ ≤ 90°, in order of rising 2θ:
2theta  I/Imax
21.34  100.0
29.64  18.9
30.36  71.2
31.10  16.4
36.80  11.5
38.02  11.0
43.47  25.6
48.91  30.6
53.04  16.4
54.87  16.8

Structural model:
```
Na2AcIrO6
1.0
5.7509 0.0000 0.0000
0.0000 6.0281 0.0000
-5.7467 0.0000 8.3347
Na Ac Ir O
4 2 2 12
Direct
0.2323 0.0398 0.2366
0.2323 0.4602 0.7366
0.7677 0.5398 0.2634
0.7677 0.9602 0.7634
0.0000 0.0000 0.5000
0.0000 0.5000 0.0000
0.5000 0.0000 0.0000
0.5000 0.5000 0.5000
0.1781 0.1608 0.9590
0.1781 0.3392 0.4590
0.2765 0.7323 0.9278
0.2765 0.7677 0.4278
0.3879 0.0629 0.7843
0.3879 0.4371 0.2843
0.6121 0.5629 0.7157
0.6121 0.9371 0.2157
0.7235 0.2323 0.5722
0.7235 0.2677 0.0722
0.8219 0.6608 0.5410
0.8219 0.8392 0.0410
```

=====

Entry 4:
NaAc2IrO5: simulated powder XRD pattern (Cu Kα (λ = 1.5418 Å)), based on a cell relaxed with GGA-PBE.
Intensities are scaled so that the largest is 100.

Top 10 peaks for 15° ≤ 2θ ≤ 90°, in order of rising 2θ:
2theta  I/Imax
16.01  58.6
28.32  31.3
30.03  100.0
31.64  19.2
41.54  21.9
42.39  16.3
42.97  28.0
43.56  14.6
51.21  24.0
61.76  13.9

Structural model:
```
NaAc2IrO5
1.0
-2.0776 3.1515 5.7908
2.0776 -3.1515 5.7908
2.0776 3.1515 -5.7908
Na Ac Ir O
1 2 1 5
Direct
0.0000 0.0000 0.0000
0.2894 0.7894 0.5000
0.7106 0.2106 0.5000
0.5000 0.5000 0.0000
0.1388 0.3622 0.7765
0.4143 0.6378 0.7765
0.5000 0.0000 0.5000
0.5857 0.3622 0.2235
0.8612 0.6378 0.2235
```

=====

Entry 5:
Na2AcIrO4: simulated powder XRD pattern (Cu Kα (λ = 1.5418 Å)), based on a cell relaxed with GGA-PBE.
Intensities are scaled so that the largest is 100.

Top 10 peaks for 15° ≤ 2θ ≤ 90°, in order of rising 2θ:
2theta  I/Imax
19.95  100.0
30.09  42.2
34.18  82.9
36.36  42.5
43.07  27.8
43.17  14.2
53.52  14.6
56.09  40.7
70.98  15.6
72.00  14.8

Structural model:
```
Na2AcIrO4
1.0
-2.9703 2.9703 3.3593
2.9703 -2.9703 3.3593
2.9703 2.9703 -3.3593
Na Ac Ir O
2 1 1 4
Direct
0.0000 0.0000 0.0000
0.7500 0.2500 0.5000
0.5000 0.5000 0.0000
0.2500 0.7500 0.5000
0.0052 0.5384 0.0324
0.0273 0.9948 0.5332
0.4616 0.4941 0.4668
0.5059 0.9727 0.9676
```

=====

Entry 6:
NaAcIrO4: simulated powder XRD pattern (Cu Kα (λ = 1.5418 Å)), based on a cell relaxed with GGA-PBE.
Intensities are scaled so that the largest is 100.

Top 10 peaks for 15° ≤ 2θ ≤ 90°, in order of rising 2θ:
2theta  I/Imax
16.55  100.0
28.23  75.3
30.02  73.5
30.97  39.6
32.29  28.3
33.45  56.1
35.56  70.7
39.34  28.9
54.06  49.6
58.39  31.5

Structural model:
```
NaAcIrO4
1.0
-3.3025 3.9151 4.5811
3.3025 -3.9151 4.5811
3.3025 3.9151 -4.5811
Na Ac Ir O
2 2 2 8
Direct
0.3472 0.0972 0.2500
0.6528 0.9028 0.7500
0.0000 0.5000 0.5000
0.5000 0.5000 0.0000
0.0000 0.0000 0.5000
0.0000 0.5000 0.0000
0.1485 0.2370 0.9115
0.1745 0.7630 0.4115
0.2240 0.2518 0.5278
0.2240 0.6962 0.9722
0.7760 0.3038 0.0278
0.7760 0.7482 0.4722
0.8255 0.2370 0.5885
0.8515 0.7630 0.0885
```